The following is a calculated XRD peak list of Cd3Ag7Hg2. It was derived from a cell relaxed with GGA-PBE, using Cu Ka.
Lines closer than 0.1° are merged.

Structural model:
```
Cd3Ag7Hg2
1.0
5.1793 0.0000 0.0000
2.4838 5.0984 0.0000
2.5668 1.3378 9.6655
Cd Ag Hg
3 7 2
direct
0.0000 0.0000 0.0000
0.3528 0.7104 0.3884
0.6472 0.2896 0.6116
0.0000 0.5000 0.0000
0.0610 0.3318 0.7443
0.1673 0.8060 0.6944
0.2386 0.2290 0.4628
0.7614 0.7710 0.5372
0.8327 0.1940 0.3056
0.9390 0.6682 0.2557
0.4241 0.1684 0.1603
0.5759 0.8316 0.8397
```

Most intense lines, 2θ from 15° to 90°, by angle:
two_theta, intensity
24.58, 29
29.31, 37
35.55, 32
36.80, 75
36.96, 61
37.48, 58
38.05, 84
38.75, 100
38.97, 100
39.15, 48
39.45, 42
41.16, 44